The following is a simulated powder XRD pattern of HfNi2SbO6. It was derived from a DFT-relaxed cell (PBE+U, Alexandria), using Cu Ka.
Neutral-atom scattering factors, no anomalous dispersion.

Cell and atoms:
```
HfNi2SbO6
1.0
2.658 1.535 4.795
-2.658 1.535 4.795
0.000 -3.069 4.795
Hf Ni Sb O
1 2 1 6
Direct
0.000 0.000 0.000 Hf
0.294 0.294 0.294 Ni
0.795 0.795 0.795 Ni
0.500 0.500 0.500 Sb
0.092 0.705 0.394 O
0.191 0.596 0.905 O
0.394 0.092 0.705 O
0.596 0.905 0.191 O
0.705 0.394 0.092 O
0.905 0.191 0.596 O
```

Principal peaks in the range 2θ from 5° to 70°, in order of rising 2θ:
2theta, d_spacing, I (rel.)
22.93, 3.878, 73
31.57, 2.834, 100
33.72, 2.658, 93
41.17, 2.193, 14
46.86, 1.939, 39
51.32, 1.780, 55
54.23, 1.691, 13
58.96, 1.566, 37
60.31, 1.535, 30
68.32, 1.373, 15